The following is a simulated powder XRD pattern of CdFe2Sb2P6O24. It was derived from a DFT-relaxed cell (GGA+U, Alexandria), using copper Kα.

Most intense lines, 2θ from 5° to 70°, low angle first:
- hkl 0 0 3, 2θ = 11.91°, rel. 47
- hkl 1 0 4, 2θ = 20.01°, rel. 31
- hkl 1 1 0, 2θ = 20.99°, rel. 94
- hkl 2 -1 3, 2θ = 24.20°, rel. 100
- hkl 0 2 4, 2θ = 29.16°, rel. 25
- hkl 1 1 6, 2θ = 32.06°, rel. 88
- hkl 3 0 0, 2θ = 36.78°, rel. 34
- hkl 2 2 6, 2θ = 49.57°, rel. 27
- hkl 1 4 0, 2θ = 57.62°, rel. 22
- hkl 4 1 6, 2θ = 63.29°, rel. 20

Cell lengths 8.4654, 8.4654, 22.2895 Å; angles 90.00, 90.00, 120.00 degrees
Space group R-3 (No. 148, hexagonal axes)
Inequivalent atoms, fractional coordinates:
Cd (0.0000, 0.0000, 0.0000)
Fe (0.0000, 0.0000, 0.1469)
Sb (0.0000, 0.0000, 0.3536)
P (0.0046, 0.2924, 0.7495)
O (0.0031, 0.8043, 0.1927)
O (0.0234, 0.1914, 0.0832)
O (0.0735, 0.2226, 0.6954)
O (0.0789, 0.2181, 0.4048)